Record 1
Structure and computed XRD peak list of CaC2O4 (a crystal structure in the Materials Project, relaxed with GGA-PBE; Cu Kα, 1.54184 Å).
Peak positions follow from Bragg's law for the DFT cell and can differ from measured ones.

Peak list (10 most intense, 2θ = 10–90°, most intense first)
15.69°, I = 100, hkl 0 2 1
25.74°, I = 93, hkl 1 2 2
29.75°, I = 72, hkl 1 3 2
17.47°, I = 58, hkl 1 1 1
44.96°, I = 37, hkl 2 0 4
31.13°, I = 29, hkl 1 4 1
38.56°, I = 25, hkl 2 4 0
25.62°, I = 24, hkl 1 3 1
28.39°, I = 20, hkl 2 1 0
40.57°, I = 20, hkl 2 2 3

Cell and atoms:
Lattice parameters (Å, degrees): 6.466 13.496 10.312 90.00 90.00 90.00
Space group Pbca (No. 61)
Asymmetric unit:
1 Ca 0.023 0.111 0.134 x8
2 C 0.144 0.232 0.870 x8
3 C 0.162 0.046 0.613 x8
4 O 0.124 0.516 0.200 x8
5 O 0.188 0.549 0.537 x8
6 O 0.203 0.200 0.977 x8
7 O 0.216 0.200 0.299 x8


Record 2
Structure and computed XRD peak list of In (a crystal structure in the Materials Project, relaxed with GGA-PBE; Cu Kα, 1.54184 Å).
Peak positions follow from Bragg's law for the DFT cell and can differ from measured ones.

Peak list (10 most intense, 2θ = 10–90°, most intense first)
34.56°, I = 100, hkl 1 0 2
31.30°, I = 43, hkl 1 0 1
33.36°, I = 33, hkl 0 0 4
64.56°, I = 27, hkl 1 1 4
53.54°, I = 25, hkl 1 1 0
39.46°, I = 23, hkl 1 0 3
60.40°, I = 19, hkl 1 0 6
65.30°, I = 15, hkl 2 0 2
89.30°, I = 13, hkl 2 1 2
52.61°, I = 10, hkl 1 0 5

Cell and atoms:
Lattice parameters (Å, degrees): 3.4235 3.4235 10.7425 90.00 90.00 120.00
Space group P6_3/mmc (No. 194)
Asymmetric unit:
1 In 0.0000 0.0000 0.0000 x2
2 In 0.3333 0.6667 0.2500 x2